Diffraction record for Ce2CoCl. The XRD peak list is simulated, not measured: it uses a DFT-relaxed cell (GGA-PBE, Alexandria) and Cu Kα (λ = 1.5418 Å).
Intensities are scaled so that the largest is 100.

Most intense lines, 10 to 90 degrees two-theta, in order of rising 2θ:
2θ (°)	I (rel.)
10.26	20
25.75	31
28.38	36
30.81	65
31.67	100
42.63	21
44.77	75
48.68	18
58.72	20
73.34	17

Crystal structure
Unit cell a=3.741 b=5.805 c=8.619 alpha=90.00 beta=90.00 gamma=90.00
Atoms (fractional coordinates):
Ce: 0.250 0.250 0.083
Ce: 0.250 0.250 0.660
Ce: 0.750 0.750 0.340
Ce: 0.750 0.750 0.917
Co: 0.250 0.750 0.138
Co: 0.750 0.250 0.862
Cl: 0.250 0.750 0.621
Cl: 0.750 0.250 0.379

Diffraction record for Nd2PtAu. The XRD peak list is simulated, not measured: it uses a DFT-relaxed cell (GGA-PBE, Alexandria) and Cu Kα (λ = 1.5418 Å).
Intensities are scaled so that the largest is 100.

Most intense lines, 10 to 90 degrees two-theta, in order of rising 2θ:
2θ (°)	I (rel.)
30.72	63
30.89	61
32.29	39
37.71	32
38.43	100
38.79	54
46.25	26
51.08	22
61.68	22
70.94	17

Crystal structure
Unit cell a=5.908 b=4.679 c=7.853 alpha=90.00 beta=110.19 gamma=90.00
Atoms (fractional coordinates):
Nd: 0.219 0.250 0.435
Nd: 0.232 0.250 0.926
Nd: 0.768 0.750 0.074
Nd: 0.781 0.750 0.565
Pt: 0.326 0.750 0.707
Pt: 0.674 0.250 0.293
Au: 0.323 0.750 0.207
Au: 0.677 0.250 0.793

Diffraction record for Ac4PmN5. The XRD peak list is simulated, not measured: it uses a DFT-relaxed cell (GGA-PBE, Alexandria) and Cu Kα (λ = 1.5418 Å).
Intensities are scaled so that the largest is 100.

Most intense lines, 10 to 90 degrees two-theta, in order of rising 2θ:
2θ (°)	I (rel.)
28.26	100
30.69	25
33.73	41
46.24	33
48.45	15
53.08	20
57.04	30
58.45	16
74.69	15
88.96	11

Crystal structure
Unit cell a=6.617 b=6.617 c=6.617 alpha=101.18 beta=101.18 gamma=127.76
Atoms (fractional coordinates):
Ac: 0.103 0.299 0.402
Ac: 0.299 0.897 0.195
Ac: 0.701 0.103 0.805
Ac: 0.897 0.701 0.598
Pm: 0.505 0.505 0.000
N: 0.152 0.538 0.804
N: 0.348 0.152 0.614
N: 0.538 0.734 0.386
N: 0.734 0.348 0.196
N: 0.905 0.905 0.000

Diffraction record for PaB2Ir5. The XRD peak list is simulated, not measured: it uses a DFT-relaxed cell (GGA-PBE, Alexandria) and Cu Kα (λ = 1.5418 Å).
Intensities are scaled so that the largest is 100.

Most intense lines, 10 to 90 degrees two-theta, in order of rising 2θ:
2θ (°)	I (rel.)
34.17	18
37.55	100
46.41	15
49.14	17
58.88	8
61.27	5
69.90	12
70.56	9
80.11	12
84.22	10

Crystal structure
Unit cell a=5.896 b=5.896 c=5.896 alpha=141.24 beta=113.90 gamma=79.34
Atoms (fractional coordinates):
Pa: 0.000 0.000 0.000
B: 0.261 0.761 0.500
B: 0.739 0.239 0.500
Ir: 0.139 0.351 0.788
Ir: 0.437 0.649 0.788
Ir: 0.500 0.000 0.500
Ir: 0.563 0.351 0.212
Ir: 0.861 0.649 0.212

Diffraction record for TaTi4Mn5. The XRD peak list is simulated, not measured: it uses a DFT-relaxed cell (GGA-PBE, Alexandria) and Cu Kα (λ = 1.5418 Å).
Intensities are scaled so that the largest is 100.

Most intense lines, 10 to 90 degrees two-theta, in order of rising 2θ:
2θ (°)	I (rel.)
11.79	14
17.73	6
30.30	7
32.06	6
34.80	5
42.53	100
61.67	10
61.82	5
77.80	20
77.91	10

Crystal structure
Unit cell a=3.008 b=3.008 c=15.007 alpha=90.00 beta=90.00 gamma=90.00
Atoms (fractional coordinates):
Ta: 0.000 0.000 0.000
Ti: 0.000 0.000 0.202
Ti: 0.000 0.000 0.400
Ti: 0.000 0.000 0.600
Ti: 0.000 0.000 0.798
Mn: 0.500 0.500 0.102
Mn: 0.500 0.500 0.302
Mn: 0.500 0.500 0.500
Mn: 0.500 0.500 0.698
Mn: 0.500 0.500 0.898

Diffraction record for Tb4BiAs3. The XRD peak list is simulated, not measured: it uses a DFT-relaxed cell (GGA-PBE, Alexandria) and Cu Kα (λ = 1.5418 Å).
Intensities are scaled so that the largest is 100.

Most intense lines, 10 to 90 degrees two-theta, in order of rising 2θ:
2θ (°)	I (rel.)
24.75	17
29.28	91
31.16	100
43.22	100
53.05	18
54.22	21
69.79	20
70.72	15
71.72	18
79.25	23

Crystal structure
Unit cell a=4.188 b=4.188 c=28.172 alpha=90.00 beta=90.00 gamma=120.00
Atoms (fractional coordinates):
Tb: 0.000 0.000 0.176
Tb: 0.000 0.000 0.324
Tb: 0.000 0.000 0.676
Tb: 0.000 0.000 0.824
Tb: 0.333 0.667 0.059
Tb: 0.333 0.667 0.441
Tb: 0.667 0.333 0.559
Tb: 0.667 0.333 0.941
Bi: 0.333 0.667 0.250
Bi: 0.667 0.333 0.750
As: 0.000 0.000 0.000
As: 0.000 0.000 0.500
As: 0.333 0.667 0.619
As: 0.333 0.667 0.881
As: 0.667 0.333 0.119
As: 0.667 0.333 0.381

Diffraction record for KRb2CO3F. The XRD peak list is simulated, not measured: it uses a DFT-relaxed cell (GGA-PBE, Alexandria) and Cu Kα (λ = 1.5418 Å).
Intensities are scaled so that the largest is 100.

Most intense lines, 10 to 90 degrees two-theta, in order of rising 2θ:
2θ (°)	I (rel.)
27.22	41
27.82	100
28.22	71
28.33	38
31.55	85
33.07	40
34.06	69
35.17	56
35.54	35
44.53	34

Crystal structure
Unit cell a=7.304 b=7.304 c=7.187 alpha=114.01 beta=114.01 gamma=64.46
Atoms (fractional coordinates):
K: 0.208 0.208 0.413
K: 0.792 0.792 0.587
Rb: 0.295 0.131 0.922
Rb: 0.368 0.632 0.000
Rb: 0.722 0.278 0.500
Rb: 0.869 0.705 0.078
C: 0.293 0.707 0.500
C: 0.801 0.199 0.000
O: 0.125 0.875 0.500
O: 0.289 0.534 0.342
O: 0.466 0.711 0.658
O: 0.632 0.197 0.838
O: 0.803 0.368 0.162
O: 0.970 0.030 0.000
F: 0.044 0.460 0.735
F: 0.540 0.956 0.265

Diffraction record for Tm4Sc3Os2. The XRD peak list is simulated, not measured: it uses a DFT-relaxed cell (GGA-PBE, Alexandria) and Cu Kα (λ = 1.5418 Å).
Intensities are scaled so that the largest is 100.

Most intense lines, 10 to 90 degrees two-theta, in order of rising 2θ:
2θ (°)	I (rel.)
12.73	100
22.32	79
28.94	65
32.62	44
33.59	65
34.01	59
35.78	92
37.60	100
43.74	59
58.44	48

Crystal structure
Unit cell a=8.041 b=8.041 c=7.372 alpha=108.71 beta=108.71 gamma=29.83
Atoms (fractional coordinates):
Tm: 0.088 0.088 0.345
Tm: 0.275 0.275 0.830
Tm: 0.725 0.725 0.170
Tm: 0.912 0.912 0.655
Sc: 0.407 0.407 0.302
Sc: 0.500 0.500 0.000
Sc: 0.593 0.593 0.698
Os: 0.107 0.107 0.940
Os: 0.893 0.893 0.060

Diffraction record for Mg14CrMo. The XRD peak list is simulated, not measured: it uses a DFT-relaxed cell (GGA-PBE, Alexandria) and Cu Kα (λ = 1.5418 Å).
Intensities are scaled so that the largest is 100.

Most intense lines, 10 to 90 degrees two-theta, in order of rising 2θ:
2θ (°)	I (rel.)
16.37	25
24.22	14
33.09	27
35.88	25
37.78	100
49.61	16
59.11	17
65.75	18
71.12	18
72.32	13

Crystal structure
Unit cell a=6.252 b=6.252 c=10.011 alpha=90.00 beta=90.00 gamma=120.00
Atoms (fractional coordinates):
Mg: 0.000 0.000 0.249
Mg: 0.000 0.000 0.751
Mg: 0.015 0.507 0.256
Mg: 0.015 0.507 0.744
Mg: 0.334 0.167 0.500
Mg: 0.337 0.168 0.000
Mg: 0.493 0.507 0.256
Mg: 0.493 0.507 0.744
Mg: 0.493 0.985 0.256
Mg: 0.493 0.985 0.744
Mg: 0.832 0.168 0.000
Mg: 0.832 0.663 0.000
Mg: 0.833 0.167 0.500
Mg: 0.833 0.666 0.500
Cr: 0.333 0.667 0.000
Mo: 0.333 0.667 0.500

Diffraction record for Ti5Nb5V2. The XRD peak list is simulated, not measured: it uses a DFT-relaxed cell (GGA-PBE, Alexandria) and Cu Kα (λ = 1.5418 Å).
Intensities are scaled so that the largest is 100.

Most intense lines, 10 to 90 degrees two-theta, in order of rising 2θ:
2θ (°)	I (rel.)
38.77	100
39.71	62
40.44	29
55.84	11
56.10	11
58.72	9
69.58	10
70.31	10
71.46	19
71.78	9

Crystal structure
Unit cell a=6.897 b=6.897 c=10.493 alpha=116.94 beta=116.94 gamma=27.50
Atoms (fractional coordinates):
Ti: 0.000 0.000 0.000
Ti: 0.070 0.070 0.751
Ti: 0.160 0.160 0.482
Ti: 0.840 0.840 0.518
Ti: 0.930 0.930 0.249
Nb: 0.252 0.252 0.257
Nb: 0.331 0.331 0.996
Nb: 0.500 0.500 0.500
Nb: 0.669 0.669 0.004
Nb: 0.748 0.748 0.743
V: 0.405 0.405 0.751
V: 0.595 0.595 0.249

Diffraction record for AgHW2. The XRD peak list is simulated, not measured: it uses a DFT-relaxed cell (GGA-PBE, Alexandria) and Cu Kα (λ = 1.5418 Å).
Intensities are scaled so that the largest is 100.

Most intense lines, 10 to 90 degrees two-theta, in order of rising 2θ:
2θ (°)	I (rel.)
19.59	27
32.26	15
38.02	100
39.78	57
46.27	13
50.70	7
61.38	33
67.51	31
80.19	11
81.31	22

Crystal structure
Unit cell a=5.550 b=5.550 c=5.550 alpha=60.00 beta=60.00 gamma=60.00
Atoms (fractional coordinates):
Ag: 0.125 0.125 0.125
Ag: 0.875 0.875 0.875
H: 0.375 0.375 0.375
H: 0.625 0.625 0.625
W: 0.000 0.500 0.500
W: 0.500 0.000 0.500
W: 0.500 0.500 0.000
W: 0.500 0.500 0.500

Diffraction record for Na5B7C3. The XRD peak list is simulated, not measured: it uses a DFT-relaxed cell (GGA-PBE, Alexandria) and Cu Kα (λ = 1.5418 Å).
Intensities are scaled so that the largest is 100.

Most intense lines, 10 to 90 degrees two-theta, in order of rising 2θ:
2θ (°)	I (rel.)
35.84	19
41.79	100
42.28	24
56.60	10
64.42	18
68.48	2
75.97	2
76.98	11
79.78	11
80.12	16

Crystal structure
Unit cell a=2.893 b=2.893 c=42.748 alpha=90.00 beta=90.00 gamma=120.00
Atoms (fractional coordinates):
Na: 0.000 0.000 0.000
Na: 0.000 0.000 0.098
Na: 0.000 0.000 0.197
Na: 0.000 0.000 0.298
Na: 0.000 0.000 0.398
Na: 0.000 0.000 0.500
Na: 0.000 0.000 0.602
Na: 0.000 0.000 0.702
Na: 0.000 0.000 0.803
Na: 0.000 0.000 0.902
B: 0.333 0.667 0.147
B: 0.333 0.667 0.248
B: 0.333 0.667 0.348
B: 0.333 0.667 0.449
B: 0.333 0.667 0.551
B: 0.333 0.667 0.752
B: 0.333 0.667 0.951
B: 0.667 0.333 0.049
B: 0.667 0.333 0.248
B: 0.667 0.333 0.449
B: 0.667 0.333 0.551
B: 0.667 0.333 0.652
B: 0.667 0.333 0.752
B: 0.667 0.333 0.853
C: 0.333 0.667 0.049
C: 0.333 0.667 0.652
C: 0.333 0.667 0.853
C: 0.667 0.333 0.147
C: 0.667 0.333 0.348
C: 0.667 0.333 0.951

Diffraction record for Ca3In2Hg6. The XRD peak list is simulated, not measured: it uses a DFT-relaxed cell (GGA-PBE, Alexandria) and Cu Kα (λ = 1.5418 Å).
Intensities are scaled so that the largest is 100.

Most intense lines, 10 to 90 degrees two-theta, in order of rising 2θ:
2θ (°)	I (rel.)
15.42	70
22.21	26
30.05	100
31.38	27
33.53	38
35.53	42
36.33	76
42.34	55
67.30	27
73.54	32

Crystal structure
Unit cell a=17.506 b=17.506 c=17.506 alpha=165.99 beta=165.99 gamma=19.86
Atoms (fractional coordinates):
Ca: 0.000 0.000 0.000
Ca: 0.181 0.181 0.000
Ca: 0.819 0.819 0.000
In: 0.363 0.363 0.000
In: 0.637 0.637 0.000
Hg: 0.070 0.570 0.500
Hg: 0.273 0.273 0.000
Hg: 0.430 0.930 0.500
Hg: 0.570 0.070 0.500
Hg: 0.727 0.727 0.000
Hg: 0.930 0.430 0.500